[1]
Diffraction record for Cr2CoTe4. The powder X-ray diffraction pattern is simulated, not measured: it uses a structure optimized by DFT (PBE) and λ = 1.5418 Å (Cu Kα).
Kinematic intensities with the Lorentz-polarization factor, no thermal factor.

Most intense lines, 10° ≤ 2θ ≤ 90°, low angle first:
2θ/deg  d [Å]  Rel. int.
30.0  2.978  100
30.2  2.957  43
30.5  2.932  39
40.6  2.223  33
41.0  2.204  31
45.2  2.006  23
45.5  1.992  44
55.5  1.656  19

Structure:
a = 13.306 Å, b = 4.011 Å, c = 6.884 Å
α = 90.00°, β = 120.22°, γ = 90.00°
Space group C2/m (No. 12)
Unique sites:
Cr (0.243, 0.000, 0.224) x4
Co (0.000, 0.500, 0.500) x2
Te (0.114, 0.500, 0.946) x4
Te (0.127, 0.000, 0.470) x4

[2]
Diffraction record for UCrCo. The powder X-ray diffraction pattern is simulated, not measured: it uses a structure optimized by DFT (PBE) and λ = 1.5418 Å (Cu Kα).
Kinematic intensities with the Lorentz-polarization factor, no thermal factor.

Most intense lines, 10° ≤ 2θ ≤ 90°, low angle first:
2θ/deg  d [Å]  Rel. int.
21.0  4.227  55
35.3  2.543  25
35.7  2.517  100
40.9  2.205  50
42.6  2.123  52
45.9  1.978  54
63.6  1.463  21
75.5  1.259  23

Structure:
a = 4.477 Å, b = 5.086 Å, c = 7.601 Å
α = 90.00°, β = 90.00°, γ = 90.00°
Space group Imma (No. 74)
Unique sites:
U (0.000, 0.250, 0.143) x4
Cr (0.250, 0.250, 0.750) x4
Co (0.000, 0.000, 0.500) x4

[3]
Diffraction record for Zr2CrCo3. The powder X-ray diffraction pattern is simulated, not measured: it uses a structure optimized by DFT (PBE) and λ = 1.5418 Å (Cu Kα).
Kinematic intensities with the Lorentz-polarization factor, no thermal factor.

Most intense lines, 10° ≤ 2θ ≤ 90°, low angle first:
2θ/deg  d [Å]  Rel. int.
35.7  2.518  43
37.2  2.418  45
42.2  2.143  58
42.8  2.111  100
44.1  2.051  42
44.4  2.042  39
69.0  1.361  22
75.5  1.259  24

Structure:
a = 5.0358 Å, b = 5.0358 Å, c = 11.6235 Å
α = 90.00°, β = 90.00°, γ = 120.00°
Space group R-3m (No. 166, hexagonal axes)
Unique sites:
Zr (0.0000, 0.0000, 0.1266) x6
Cr (0.0000, 0.0000, 0.5000) x3
Co (0.0000, 0.5000, 0.0000) x9